No. 1
Starting from a PBE+U-relaxed structure, the powder X-ray diffraction pattern of FeOF was calculated for copper Kα.
Lines closer than 0.1° are merged.

Peak list (10 most intense, 2θ = 10–80°, in order of rising 2θ)
two_theta, I (rel.), index
26.64, 100.0, 3 0 3
34.61, 55.0, 0 1 3
39.65, 19.5, 3 1 -3
52.23, 15.3, 3 1 -6
52.36, 28.6, 3 1 6
52.50, 13.6, 6 1 3
59.71, 9.8, 0 2 0
66.31, 10.9, 0 1 9
66.53, 12.2, 3 2 3
66.75, 8.5, 9 1 0

Atomic structure:
```
data_FeOF
_symmetry_space_group_name_H-M 'P 1 m 1'
_symmetry_Int_Tables_number 6
_symmetry_space_group_name_Hall 'P -2y'
_cell_length_a 14.1413
_cell_length_b 3.0975
_cell_length_c 14.2473
_cell_angle_alpha 90.00
_cell_angle_beta 90.19
_cell_angle_gamma 90.00
loop_
_atom_site_label
_atom_site_fract_x
_atom_site_fract_y
_atom_site_fract_z
Fe1 0.0000 0.0000 0.0000
Fe2 0.0012 0.0000 0.6587
Fe3 0.1685 0.5000 0.1438
Fe4 0.1885 0.5000 0.8291
Fe5 0.1894 0.5000 0.4916
Fe6 0.3242 0.0000 0.6566
Fe7 0.3289 0.0000 0.9976
Fe8 0.3352 0.0000 0.3303
Fe9 0.5011 0.5000 0.1824
Fe10 0.5198 0.5000 0.8292
Fe11 0.5233 0.5000 0.4984
Fe12 0.6620 0.0000 0.3284
Fe13 0.6654 0.0000 0.6656
Fe14 0.6695 0.0000 0.9902
Fe15 0.8554 0.5000 0.4950
Fe16 0.8567 0.5000 0.1637
Fe17 0.8636 0.5000 0.8270
Fe18 0.9990 0.0000 0.3303
O1 0.1069 0.0000 0.0907
O2 0.2401 0.0000 0.5513
O3 0.2410 0.0000 0.8918
O4 0.2739 0.5000 0.3932
O5 0.2771 0.5000 0.7230
O6 0.2806 0.5000 0.0620
O7 0.3988 0.5000 0.2661
O8 0.5745 0.0000 0.2219
O9 0.5752 0.0000 0.8970
O10 0.5766 0.0000 0.5615
O11 0.6108 0.5000 0.3919
O12 0.6126 0.5000 0.7298
O13 0.9070 0.0000 0.2263
O14 0.9075 0.0000 0.5581
O15 0.9073 0.0000 0.8925
O16 0.9376 0.5000 0.0561
O17 0.9450 0.5000 0.3916
O18 0.9490 0.5000 0.7217
F1 0.0737 0.5000 0.9227
F2 0.0757 0.5000 0.2628
F3 0.0797 0.5000 0.5914
F4 0.1110 0.0000 0.7598
F5 0.1129 0.0000 0.4256
F6 0.2327 0.0000 0.2243
F7 0.4095 0.5000 0.5970
F8 0.4103 0.5000 0.9277
F9 0.4443 0.0000 0.4345
F10 0.4462 0.0000 0.7656
F11 0.4467 0.0000 0.0921
F12 0.6124 0.5000 0.0584
F13 0.7398 0.5000 0.9316
F14 0.7410 0.5000 0.2599
F15 0.7426 0.5000 0.5976
F16 0.7691 0.0000 0.0926
F17 0.7762 0.0000 0.4282
F18 0.7776 0.0000 0.7635
```



No. 2
Starting from a PBE+U-relaxed structure, the powder X-ray diffraction pattern of TmAgW2O8 was calculated for copper Kα.
Lines closer than 0.1° are merged.

Peak list (10 most intense, 2θ = 10–80°, in order of rising 2θ)
two_theta, I (rel.), index
27.83, 100.0, 2 2 0
28.52, 32.9, 3 1 -1
29.91, 50.3, 2 2 -2
30.65, 39.5, 0 0 2
34.59, 23.3, 1 3 1
41.98, 13.4, 2 4 -2
45.94, 19.4, 3 1 1
50.82, 18.4, 4 0 -4
54.17, 12.5, 5 3 -3
56.01, 14.8, 5 3 -1

Atomic structure:
```
data_TmAgW2O8
_symmetry_space_group_name_H-M 'C 1 2/m 1'
_symmetry_Int_Tables_number 12
_symmetry_space_group_name_Hall '-C 2y'
_cell_length_a 9.9689
_cell_length_b 10.7478
_cell_length_c 7.2849
_cell_angle_alpha 90.00
_cell_angle_beta 126.78
_cell_angle_gamma 90.00
loop_
_atom_site_label
_atom_site_fract_x
_atom_site_fract_y
_atom_site_fract_z
Tm1 0.0000 0.1984 0.0000
Ag1 0.1815 0.0000 0.5182
W1 0.0000 0.3343 0.5000
W2 0.2113 0.5000 0.9682
O1 0.0225 0.5000 0.3415
O2 0.0465 0.2319 0.3474
O3 0.0539 0.0000 0.8639
O4 0.1689 0.3679 0.0850
O5 0.2289 0.3732 0.7560
```